# 1
This entry pairs a crystal structure of CsMnF3 with its computed powder diffractogram. Radiation: Cu Kα, 1.54184 Å. Structure: a PBE+U-relaxed structure.
Lines closer than 0.1° are merged.

The 10 most intense peaks (10° ≤ 2θ ≤ 90°), in order of falling intensity:
| two_theta | I/Imax |
| --- | --- |
| 28.19 | 1000 |
| 28.35 | 712 |
| 49.96 | 491 |
| 40.41 | 489 |
| 23.76 | 335 |
| 37.19 | 320 |
| 58.30 | 238 |
| 80.27 | 175 |
| 34.74 | 157 |
| 66.08 | 134 |

Structure:
```
data_CsMnF3
_chemical_formula_sum 'Cs6 Mn6 F18'
_space_group_name_H-M_alt 'P 63/m m c'
_space_group_IT_number 194
_space_group_name_Hall '-P 6c 2c'
_cell_length_a 6.3306
_cell_length_b 6.3306
_cell_length_c 15.3830
_cell_angle_alpha 90.00
_cell_angle_beta 90.00
_cell_angle_gamma 120.00
loop_
_atom_site_label
_atom_site_type_symbol
_atom_site_fract_x
_atom_site_fract_y
_atom_site_fract_z
Cs1 Cs 0.0000 0.0000 0.2500
Cs2 Cs 0.3333 0.6667 0.0976
Mn1 Mn 0.0000 0.0000 0.0000
Mn2 Mn 0.3333 0.6667 0.6518
F1 F 0.0449 0.5225 0.7500
F2 F 0.1654 0.3308 0.5793
```


# 2
This entry pairs a crystal structure of Cs2MnF4 with its computed powder diffractogram. Radiation: Cu Kα, 1.54184 Å. Structure: a PBE+U-relaxed structure.
Lines closer than 0.1° are merged.

The 10 most intense peaks (10° ≤ 2θ ≤ 90°), in order of falling intensity:
| two_theta | I/Imax |
| --- | --- |
| 27.00 | 1000 |
| 28.57 | 626 |
| 49.65 | 372 |
| 40.85 | 360 |
| 37.57 | 333 |
| 46.71 | 179 |
| 55.67 | 176 |
| 36.15 | 167 |
| 20.97 | 139 |
| 23.87 | 121 |

Structure:
```
data_Cs2MnF4
_chemical_formula_sum 'Cs4 Mn2 F8'
_space_group_name_H-M_alt 'I 4/m m m'
_space_group_IT_number 139
_space_group_name_Hall '-I 4 2'
_cell_length_a 4.418
_cell_length_b 4.418
_cell_length_c 14.909
_cell_angle_alpha 90.00
_cell_angle_beta 90.00
_cell_angle_gamma 90.00
loop_
_atom_site_label
_atom_site_type_symbol
_atom_site_fract_x
_atom_site_fract_y
_atom_site_fract_z
Cs1 Cs 0.000 0.000 0.148
Mn1 Mn 0.000 0.000 0.500
F1 F 0.000 0.000 0.357
F2 F 0.000 0.500 0.000
```


# 3
This entry pairs a crystal structure of CsMnF4 with its computed powder diffractogram. Radiation: Cu Kα, 1.54184 Å. Structure: a PBE+U-relaxed structure.
Lines closer than 0.1° are merged.

The 10 most intense peaks (10° ≤ 2θ ≤ 90°), in order of falling intensity:
| two_theta | I/Imax |
| --- | --- |
| 26.02 | 1000 |
| 31.30 | 334 |
| 52.59 | 280 |
| 44.86 | 231 |
| 34.33 | 207 |
| 27.67 | 195 |
| 47.95 | 177 |
| 53.53 | 129 |
| 35.63 | 120 |
| 67.75 | 115 |

Structure:
```
data_CsMnF4
_chemical_formula_sum 'Cs4 Mn4 F16'
_space_group_name_H-M_alt 'P 4/n m m'
_space_group_IT_number 129
_cell_length_a 8.082
_cell_length_b 8.082
_cell_length_c 6.447
_cell_angle_alpha 90.00
_cell_angle_beta 90.00
_cell_angle_gamma 90.00
loop_
_space_group_symop_operation_xyz
'x,y,z'
'-x,-y,-z'
'-y+1/2,x,z'
'y+1/2,-x,-z'
'-x+1/2,-y+1/2,z'
'x+1/2,y+1/2,-z'
'y,-x+1/2,z'
'-y,x+1/2,-z'
'x+1/2,-y,-z'
'-x+1/2,y,z'
'-y,-x,-z'
'y,x,z'
'-x,y+1/2,-z'
'x,-y+1/2,z'
'y+1/2,x+1/2,-z'
'-y+1/2,-x+1/2,z'
loop_
_atom_site_label
_atom_site_type_symbol
_atom_site_fract_x
_atom_site_fract_y
_atom_site_fract_z
Cs1 Cs 0.250 0.250 0.056
Cs2 Cs 0.250 0.750 0.000
Mn1 Mn 0.000 0.000 0.500
F1 F 0.002 0.750 0.549
F2 F 0.028 0.028 0.783
```


# 4
This entry pairs a crystal structure of Cs2MnF5 with its computed powder diffractogram. Radiation: Cu Kα, 1.54184 Å. Structure: a PBE+U-relaxed structure.
Lines closer than 0.1° are merged.

The 10 most intense peaks (10° ≤ 2θ ≤ 90°), in order of falling intensity:
| two_theta | I/Imax |
| --- | --- |
| 28.37 | 1000 |
| 34.53 | 551 |
| 19.27 | 432 |
| 27.39 | 427 |
| 49.03 | 376 |
| 39.12 | 351 |
| 13.60 | 331 |
| 58.71 | 198 |
| 41.96 | 158 |
| 50.84 | 156 |

Structure:
```
data_Cs2MnF5
_chemical_formula_sum 'Cs2 Mn1 F5'
_space_group_name_H-M_alt 'P 4/m m m'
_space_group_IT_number 123
_space_group_name_Hall '-P 4 2'
_cell_length_a 6.513
_cell_length_b 6.513
_cell_length_c 4.306
_cell_angle_alpha 90.00
_cell_angle_beta 90.00
_cell_angle_gamma 90.00
loop_
_atom_site_label
_atom_site_type_symbol
_atom_site_fract_x
_atom_site_fract_y
_atom_site_fract_z
Cs1 Cs 0.000 0.500 0.000
Mn1 Mn 0.000 0.000 0.500
F1 F 0.000 0.000 0.000
F2 F 0.207 0.207 0.500
```


# 5
This entry pairs a crystal structure of CsMnMoO3F3 with its computed powder diffractogram. Radiation: Cu Kα, 1.54184 Å. Structure: a PBE+U-relaxed structure.
Lines closer than 0.1° are merged.

The 10 most intense peaks (10° ≤ 2θ ≤ 90°), in order of falling intensity:
| two_theta | I/Imax |
| --- | --- |
| 27.12 | 1000 |
| 23.06 | 996 |
| 27.42 | 937 |
| 28.19 | 872 |
| 48.43 | 795 |
| 47.12 | 735 |
| 26.73 | 540 |
| 28.48 | 519 |
| 27.55 | 487 |
| 28.96 | 470 |

Structure:
```
data_CsMnMoO3F3
_chemical_formula_sum 'Cs4 Mn4 Mo4 O12 F12'
_space_group_name_H-M_alt 'C 1 2/c 1'
_space_group_IT_number 15
_space_group_name_Hall '-C 2yc'
_cell_length_a 10.499
_cell_length_b 10.763
_cell_length_c 7.534
_cell_angle_alpha 90.00
_cell_angle_beta 132.73
_cell_angle_gamma 90.00
loop_
_atom_site_label
_atom_site_type_symbol
_atom_site_fract_x
_atom_site_fract_y
_atom_site_fract_z
Cs1 Cs 0.000 0.125 0.250
Mn1 Mn 0.250 0.250 0.000
Mo1 Mo 0.000 0.500 0.000
O1 O 0.000 0.458 0.250
O2 O 0.157 0.375 0.105
F1 F 0.000 0.166 0.750
F2 F 0.198 0.381 0.728
```


# 6
This entry pairs a crystal structure of CsMnO2F4 with its computed powder diffractogram. Radiation: Cu Kα, 1.54184 Å. Structure: a PBE+U-relaxed structure.
Lines closer than 0.1° are merged.

The 10 most intense peaks (10° ≤ 2θ ≤ 90°), in order of falling intensity:
| two_theta | I/Imax |
| --- | --- |
| 22.32 | 1000 |
| 20.31 | 693 |
| 25.94 | 620 |
| 26.08 | 315 |
| 34.25 | 310 |
| 33.28 | 235 |
| 41.49 | 197 |
| 33.42 | 157 |
| 37.11 | 154 |
| 36.65 | 141 |

Structure:
```
data_CsMnO2F4
_chemical_formula_sum 'Cs4 Mn4 O8 F16'
_space_group_name_H-M_alt 'C 1 2/c 1'
_space_group_IT_number 15
_space_group_name_Hall '-C 2yc'
_cell_length_a 12.004
_cell_length_b 6.833
_cell_length_c 9.008
_cell_angle_alpha 90.00
_cell_angle_beta 122.91
_cell_angle_gamma 90.00
loop_
_atom_site_label
_atom_site_type_symbol
_atom_site_fract_x
_atom_site_fract_y
_atom_site_fract_z
Cs1 Cs 0.000 0.228 0.250
Mn1 Mn 0.250 0.250 0.000
O1 O 0.144 0.325 0.765
F1 F 0.103 0.167 0.996
F2 F 0.235 0.500 0.063
```